No. 1
Simulated X-ray powder pattern
Compound: K3Ba
Radiation: Cu Ka
Structure: a PBE-relaxed structure
Intensities are scaled so that the largest is 100.

Largest 10 diffraction maxima, by intensity, 2θ from 10° to 90°:
- d 3.777, intensity 100
- d 5.753, intensity 31
- d 3.139, intensity 31
- d 1.913, intensity 27
- d 2.364, intensity 27
- d 3.595, intensity 22
- d 2.109, intensity 19
- d 1.888, intensity 13
- d 7.191, intensity 13
- d 1.529, intensity 13

Structure:
a b c (Å): 6.2770 6.2770 14.3818
angles (deg): 90.00 90.00 90.00
Sites, in units of the cell vectors:
1 K 0.0000 0.0000 0.0000
2 K 0.0000 0.5000 0.2500
3 K 0.0000 0.5000 0.7500
4 K 0.5000 0.0000 0.2500
5 K 0.5000 0.0000 0.7500
6 K 0.5000 0.5000 0.5000
7 Ba 0.0000 0.0000 0.5000
8 Ba 0.5000 0.5000 0.0000

No. 2
Simulated X-ray powder pattern
Compound: K3Ba
Radiation: Cu Ka
Structure: a PBE-relaxed structure
Intensities are scaled so that the largest is 100.

Largest 10 diffraction maxima, by intensity, 2θ from 10° to 90°:
- d 3.789, intensity 100
- d 3.281, intensity 52
- d 1.979, intensity 45
- d 2.320, intensity 38
- d 6.563, intensity 31
- d 4.641, intensity 29
- d 2.935, intensity 19
- d 1.506, intensity 18
- d 1.468, intensity 16
- d 2.679, intensity 15

Structure:
a b c (Å): 6.5629 6.5629 6.5629
angles (deg): 90.00 90.00 90.00
Sites, in units of the cell vectors:
1 K 0.0000 0.0000 0.5000
2 K 0.0000 0.5000 0.0000
3 K 0.5000 0.0000 0.0000
4 Ba 0.5000 0.5000 0.5000

No. 3
Simulated X-ray powder pattern
Compound: KBaLaSeO6
Radiation: Cu Ka
Structure: a PBE-relaxed structure
Intensities are scaled so that the largest is 100.

Largest 10 diffraction maxima, by intensity, 2θ from 10° to 90°:
- d 2.975, intensity 100
- d 1.718, intensity 38
- d 2.104, intensity 32
- d 1.125, intensity 21
- d 1.488, intensity 19
- d 1.331, intensity 18
- d 4.858, intensity 16
- d 2.537, intensity 12
- d 1.931, intensity 7
- d 4.208, intensity 6

Structure:
a b c (Å): 5.9504 5.9504 5.9504
angles (deg): 60.00 60.00 60.00
Sites, in units of the cell vectors:
1 K 0.0000 0.0000 0.0000
2 Ba 0.5000 0.5000 0.5000
3 La 0.7500 0.7500 0.7500
4 Se 0.2500 0.2500 0.2500
5 O 0.0303 0.0303 0.4697
6 O 0.0303 0.4697 0.0303
7 O 0.0303 0.4697 0.4697
8 O 0.4697 0.0303 0.0303
9 O 0.4697 0.0303 0.4697
10 O 0.4697 0.4697 0.0303

No. 4
Simulated X-ray powder pattern
Compound: KBaLaSeO6
Radiation: Cu Ka
Structure: a PBE-relaxed structure
Intensities are scaled so that the largest is 100.

Largest 10 diffraction maxima, by intensity, 2θ from 10° to 90°:
- d 2.975, intensity 100
- d 1.718, intensity 38
- d 2.104, intensity 32
- d 1.488, intensity 19
- d 1.125, intensity 14
- d 1.330, intensity 12
- d 5.947, intensity 11
- d 1.124, intensity 7
- d 4.208, intensity 6
- d 1.332, intensity 6

Structure:
a b c (Å): 8.4094 8.4121 8.4251
angles (deg): 90.00 90.00 90.00
Sites, in units of the cell vectors:
1 K 0.2500 0.2500 0.2500
2 K 0.2500 0.2500 0.7500
3 K 0.7500 0.7500 0.2500
4 K 0.7500 0.7500 0.7500
5 Ba 0.2500 0.7500 0.2500
6 Ba 0.2500 0.7500 0.7500
7 Ba 0.7500 0.2500 0.2500
8 Ba 0.7500 0.2500 0.7500
9 La 0.0000 0.0000 0.0000
10 La 0.0000 0.5000 0.5000
11 La 0.5000 0.0000 0.5000
12 La 0.5000 0.5000 0.0000
13 Se 0.0000 0.0000 0.5000
14 Se 0.0000 0.5000 0.0000
15 Se 0.5000 0.0000 0.0000
16 Se 0.5000 0.5000 0.5000
17 O 0.0023 0.2196 0.4926
18 O 0.0023 0.2804 0.0074
19 O 0.0073 0.0072 0.7190
20 O 0.0073 0.4928 0.7810
21 O 0.2197 0.5115 0.0067
22 O 0.2197 0.9885 0.4933
23 O 0.2803 0.5115 0.4933
24 O 0.2803 0.9885 0.0067
25 O 0.4927 0.0072 0.7810
26 O 0.4927 0.4928 0.7190
27 O 0.4977 0.2196 0.0074
28 O 0.4977 0.2804 0.4926
29 O 0.5023 0.7196 0.5074
30 O 0.5023 0.7804 0.9926
31 O 0.5073 0.5072 0.2810
32 O 0.5073 0.9928 0.2190
33 O 0.7197 0.0115 0.9933
34 O 0.7197 0.4885 0.5067
35 O 0.7803 0.0115 0.5067
36 O 0.7803 0.4885 0.9933
37 O 0.9927 0.5072 0.2190
38 O 0.9927 0.9928 0.2810
39 O 0.9977 0.7196 0.9926
40 O 0.9977 0.7804 0.5074

No. 5
Simulated X-ray powder pattern
Compound: KBaMg14
Radiation: Cu Ka
Structure: a PBE-relaxed structure
Intensities are scaled so that the largest is 100.

Largest 10 diffraction maxima, by intensity, 2θ from 10° to 90°:
- d 2.551, intensity 100
- d 2.603, intensity 53
- d 2.729, intensity 37
- d 2.885, intensity 33
- d 5.103, intensity 21
- d 5.205, intensity 20
- d 1.695, intensity 19
- d 1.440, intensity 19
- d 1.539, intensity 18
- d 1.983, intensity 17

Structure:
a b c (Å): 10.9155 6.7818 6.7818
angles (deg): 58.34 90.00 90.00
Sites, in units of the cell vectors:
1 K 0.0000 0.0000 0.0000
2 Ba 0.0000 0.5011 0.5011
3 Mg 0.0000 0.5053 0.9995
4 Mg 0.0000 0.9995 0.5053
5 Mg 0.2577 0.1729 0.1729
6 Mg 0.2612 0.6741 0.6741
7 Mg 0.2750 0.1610 0.6638
8 Mg 0.2750 0.6638 0.1610
9 Mg 0.5000 0.0005 0.5001
10 Mg 0.5000 0.0039 0.0039
11 Mg 0.5000 0.5001 0.0005
12 Mg 0.5000 0.5040 0.5040
13 Mg 0.7250 0.1610 0.6638
14 Mg 0.7250 0.6638 0.1610
15 Mg 0.7388 0.6741 0.6741
16 Mg 0.7423 0.1729 0.1729

No. 6
Simulated X-ray powder pattern
Compound: KBaMg14
Radiation: Cu Ka
Structure: a PBE-relaxed structure
Intensities are scaled so that the largest is 100.

Largest 10 diffraction maxima, by intensity, 2θ from 10° to 90°:
- d 2.599, intensity 100
- d 2.984, intensity 28
- d 3.959, intensity 26
- d 2.646, intensity 23
- d 5.967, intensity 21
- d 5.198, intensity 21
- d 1.444, intensity 19
- d 1.518, intensity 18
- d 1.723, intensity 18
- d 1.980, intensity 17

Structure:
a b c (Å): 6.8906 6.8906 10.5830
angles (deg): 90.00 90.00 120.00
Sites, in units of the cell vectors:
1 K 0.0000 0.0000 0.0000
2 Ba 0.0000 0.0000 0.5000
3 Mg 0.0030 0.5015 0.0000
4 Mg 0.0109 0.5054 0.5000
5 Mg 0.1789 0.3577 0.2478
6 Mg 0.1789 0.3577 0.7522
7 Mg 0.1789 0.8211 0.2478
8 Mg 0.1789 0.8211 0.7522
9 Mg 0.4946 0.5054 0.5000
10 Mg 0.4946 0.9891 0.5000
11 Mg 0.4985 0.5015 0.0000
12 Mg 0.4985 0.9970 0.0000
13 Mg 0.6423 0.8211 0.2478
14 Mg 0.6423 0.8211 0.7522
15 Mg 0.6667 0.3333 0.2512
16 Mg 0.6667 0.3333 0.7488